Record 1
Starting from a structure optimized by DFT (GGA+U), the powder X-ray diffraction pattern of NdPaCrO6 was computed for Cu Kα.
Peak positions follow from Bragg's law for the DFT cell and can differ from measured ones.

Atomic structure:
Cell: 5.459 5.459 4.811 Å, 90.00 90.00 120.00°
Sites, in units of the cell vectors:
1 Nd 0.000 0.000 0.000
2 Pa 0.667 0.333 0.500
3 Cr 0.333 0.667 0.000
4 O 0.022 0.385 0.237
5 O 0.022 0.636 0.763
6 O 0.364 0.385 0.763
7 O 0.364 0.978 0.237
8 O 0.615 0.636 0.237
9 O 0.615 0.978 0.763

Top 12 peaks for 2θ = 10–80°, sorted by position:
- 2θ = 18.8°, intensity 19
- 2θ = 26.4°, intensity 100
- 2θ = 32.8°, intensity 37
- 2θ = 37.4°, intensity 6
- 2θ = 42.2°, intensity 7
- 2θ = 42.6°, intensity 29
- 2θ = 50.6°, intensity 33
- 2θ = 54.8°, intensity 28
- 2θ = 58.6°, intensity 12
- 2θ = 61.0°, intensity 10
- 2θ = 71.6°, intensity 7
- 2θ = 75.1°, intensity 11

Record 2
Starting from a structure optimized by DFT (GGA+U), the powder X-ray diffraction pattern of Nd2CrPbO6 was computed for Cu Kα.
Peak positions follow from Bragg's law for the DFT cell and can differ from measured ones.

Atomic structure:
Cell: 5.511 5.511 5.251 Å, 90.00 90.00 90.00°
Sites, in units of the cell vectors:
1 Nd 0.000 0.500 0.000
2 Nd 0.500 0.000 0.000
3 Cr 0.000 0.000 0.618
4 Pb 0.500 0.500 0.553
5 O 0.000 0.000 0.252
6 O 0.236 0.236 0.745
7 O 0.236 0.764 0.745
8 O 0.500 0.500 0.126
9 O 0.764 0.236 0.745
10 O 0.764 0.764 0.745

Top 12 peaks for 2θ = 10–80°, sorted by position:
- 2θ = 16.1°, intensity 14
- 2θ = 16.9°, intensity 9
- 2θ = 23.4°, intensity 12
- 2θ = 28.5°, intensity 100
- 2θ = 32.5°, intensity 36
- 2θ = 34.2°, intensity 10
- 2θ = 46.6°, intensity 20
- 2θ = 47.9°, intensity 26
- 2θ = 55.6°, intensity 31
- 2θ = 57.7°, intensity 10
- 2θ = 59.0°, intensity 9
- 2θ = 77.3°, intensity 9

Record 3
Starting from a structure optimized by DFT (GGA+U), the powder X-ray diffraction pattern of NdCrSO2 was computed for Cu Kα.
Peak positions follow from Bragg's law for the DFT cell and can differ from measured ones.

Atomic structure:
Cell: 6.482 6.482 5.287 Å, 90.00 90.00 131.76°
Sites, in units of the cell vectors:
1 Nd 0.128 0.872 0.750
2 Nd 0.872 0.128 0.250
3 Cr 0.447 0.553 0.750
4 Cr 0.553 0.447 0.250
5 S 0.246 0.754 0.250
6 S 0.754 0.246 0.750
7 O 0.257 0.257 0.000
8 O 0.257 0.257 0.500
9 O 0.743 0.743 0.000
10 O 0.743 0.743 0.500

Top 12 peaks for 2θ = 10–80°, sorted by position:
- 2θ = 22.6°, intensity 51
- 2θ = 25.0°, intensity 51
- 2θ = 28.2°, intensity 50
- 2θ = 33.0°, intensity 100
- 2θ = 33.9°, intensity 60
- 2θ = 41.1°, intensity 22
- 2θ = 44.7°, intensity 27
- 2θ = 46.0°, intensity 22
- 2θ = 48.7°, intensity 36
- 2θ = 49.3°, intensity 24
- 2θ = 60.1°, intensity 33
- 2θ = 61.2°, intensity 22

Record 4
Starting from a structure optimized by DFT (GGA+U), the powder X-ray diffraction pattern of NdCr2SnO6 was computed for Cu Kα.
Peak positions follow from Bragg's law for the DFT cell and can differ from measured ones.

Atomic structure:
Cell: 5.513 5.513 5.485 Å, 119.75 119.75 90.35°
Sites, in units of the cell vectors:
1 Nd 0.000 0.000 0.000
2 Cr 0.238 0.735 0.489
3 Cr 0.735 0.238 0.489
4 Sn 0.455 0.455 0.946
5 O 0.054 0.430 0.501
6 O 0.057 0.432 0.990
7 O 0.430 0.054 0.501
8 O 0.432 0.057 0.990
9 O 0.585 0.585 0.603
10 O 0.877 0.877 0.384

Top 12 peaks for 2θ = 10–80°, sorted by position:
- 2θ = 22.8°, intensity 15
- 2θ = 32.5°, intensity 100
- 2θ = 32.7°, intensity 20
- 2θ = 40.0°, intensity 8
- 2θ = 40.2°, intensity 11
- 2θ = 46.5°, intensity 10
- 2θ = 46.6°, intensity 11
- 2θ = 46.8°, intensity 12
- 2θ = 57.8°, intensity 17
- 2θ = 57.9°, intensity 19
- 2θ = 58.2°, intensity 16
- 2θ = 67.9°, intensity 8

Record 5
Starting from a structure optimized by DFT (GGA+U), the powder X-ray diffraction pattern of SrNdZrCrO6 was computed for Cu Kα.
Peak positions follow from Bragg's law for the DFT cell and can differ from measured ones.

Atomic structure:
Cell: 5.713 5.713 5.713 Å, 60.00 60.00 60.00°
Sites, in units of the cell vectors:
1 Sr 0.000 0.000 0.000
2 Nd 0.500 0.500 0.500
3 Zr 0.750 0.750 0.750
4 Cr 0.250 0.250 0.250
5 O 0.006 0.006 0.494
6 O 0.006 0.494 0.006
7 O 0.006 0.494 0.494
8 O 0.494 0.006 0.006
9 O 0.494 0.006 0.494
10 O 0.494 0.494 0.006

Top 12 peaks for 2θ = 10–80°, sorted by position:
- 2θ = 19.0°, intensity 8
- 2θ = 22.0°, intensity 2
- 2θ = 31.3°, intensity 100
- 2θ = 36.9°, intensity 5
- 2θ = 38.6°, intensity 11
- 2θ = 44.9°, intensity 34
- 2θ = 49.1°, intensity 3
- 2θ = 55.7°, intensity 39
- 2θ = 59.4°, intensity 2
- 2θ = 65.3°, intensity 20
- 2θ = 74.2°, intensity 17
- 2θ = 78.5°, intensity 3

Record 6
Starting from a structure optimized by DFT (GGA+U), the powder X-ray diffraction pattern of NdTaCr2O8 was computed for Cu Kα.
Peak positions follow from Bragg's law for the DFT cell and can differ from measured ones.

Atomic structure:
Cell: 4.775 4.779 6.462 Å, 88.95 88.94 87.94°
Sites, in units of the cell vectors:
1 Nd 0.000 0.000 0.000
2 Ta 0.000 0.000 0.500
3 Cr 0.499 0.499 0.746
4 Cr 0.501 0.501 0.254
5 O 0.210 0.790 0.285
6 O 0.211 0.792 0.715
7 O 0.306 0.307 0.493
8 O 0.333 0.335 0.986
9 O 0.667 0.665 0.014
10 O 0.694 0.693 0.507
11 O 0.789 0.208 0.285
12 O 0.790 0.210 0.715

Top 12 peaks for 2θ = 10–80°, sorted by position:
- 2θ = 18.6°, intensity 81
- 2θ = 25.9°, intensity 100
- 2θ = 26.9°, intensity 84
- 2θ = 33.2°, intensity 78
- 2θ = 33.8°, intensity 69
- 2θ = 37.7°, intensity 41
- 2θ = 38.9°, intensity 36
- 2θ = 41.7°, intensity 23
- 2θ = 50.1°, intensity 34
- 2θ = 51.4°, intensity 32
- 2θ = 51.6°, intensity 28
- 2θ = 52.0°, intensity 26